(1)
This entry pairs a crystal structure of ScAgPb with its computed powder X-ray diffraction pattern. Radiation: Cu Kα (weighted mean of Kα1 and Kα2). Structure: a PBE-relaxed structure.

Most intense lines, 2θ = 10–90°, by angle:
- d = 4.221 Å, 2θ 21.0, rel. 13
- d = 3.689 Å, 2θ 24.1, rel. 16
- d = 2.583 Å, 2θ 34.7, rel. 100
- d = 2.340 Å, 2θ 38.5, rel. 16
- d = 2.213 Å, 2θ 40.8, rel. 17
- d = 2.168 Å, 2θ 41.7, rel. 16
- d = 1.338 Å, 2θ 70.3, rel. 13
- d = 1.318 Å, 2θ 71.6, rel. 12

Atomic structure:
```
ScAgPb
1.0
2.213 -7.019 0.000
2.213 7.019 0.000
-0.005 0.000 4.337
Sc Ag Pb
2 2 2
direct
0.000 0.000 0.000 Sc
0.686 0.314 0.000 Sc
0.177 0.823 0.500 Ag
0.837 0.163 0.500 Ag
0.335 0.665 0.000 Pb
0.529 0.471 0.500 Pb
```

(2)
This entry pairs a crystal structure of PrHfO4 with its computed powder X-ray diffraction pattern. Radiation: Cu Kα (weighted mean of Kα1 and Kα2). Structure: a PBE-relaxed structure.

Most intense lines, 2θ = 10–90°, by angle:
- d = 3.184 Å, 2θ 28.0, rel. 100
- d = 2.780 Å, 2θ 32.2, rel. 12
- d = 2.747 Å, 2θ 32.6, rel. 22
- d = 1.954 Å, 2θ 46.5, rel. 32
- d = 1.942 Å, 2θ 46.8, rel. 16
- d = 1.672 Å, 2θ 54.9, rel. 15
- d = 1.658 Å, 2θ 55.4, rel. 30
- d = 1.267 Å, 2θ 74.9, rel. 13

Atomic structure:
```
PrHfO4
1.0
-2.747 2.747 5.559
2.747 -2.747 5.559
2.747 2.747 -5.559
Pr Hf O
2 2 8
direct
0.375 0.125 0.250 Pr
0.625 0.875 0.750 Pr
0.125 0.375 0.750 Hf
0.875 0.625 0.250 Hf
0.024 0.708 0.788 O
0.208 0.920 0.684 O
0.264 0.476 0.184 O
0.420 0.236 0.712 O
0.580 0.764 0.288 O
0.736 0.524 0.816 O
0.792 0.080 0.316 O
0.976 0.292 0.212 O
```

(3)
This entry pairs a crystal structure of AlPO4 with its computed powder X-ray diffraction pattern. Radiation: Cu Kα (weighted mean of Kα1 and Kα2). Structure: a PBE-relaxed structure.

Most intense lines, 2θ = 10–90°, by angle:
- d = 6.887 Å, 2θ 12.9, rel. 28
- d = 5.771 Å, 2θ 15.4, rel. 58
- d = 4.463 Å, 2θ 19.9, rel. 32
- d = 4.273 Å, 2θ 20.8, rel. 100
- d = 4.099 Å, 2θ 21.7, rel. 49
- d = 3.986 Å, 2θ 22.3, rel. 41
- d = 3.919 Å, 2θ 22.7, rel. 31
- d = 3.441 Å, 2θ 25.9, rel. 36

Atomic structure:
```
AlPO4
1.0
-9.534 6.887 4.273
9.534 -6.887 4.273
9.534 6.887 -4.273
Al P O
10 10 40
direct
0.140 0.040 0.180 Al
0.140 0.460 0.600 Al
0.143 0.753 0.891 Al
0.445 0.600 0.046 Al
0.445 0.900 0.345 Al
0.554 0.100 0.655 Al
0.554 0.400 0.954 Al
0.860 0.540 0.400 Al
0.860 0.960 0.820 Al
0.862 0.253 0.109 Al
0.071 0.228 0.048 P
0.071 0.524 0.343 P
0.181 0.024 0.952 P
0.181 0.728 0.657 P
0.483 0.165 0.396 P
0.483 0.587 0.818 P
0.487 0.871 0.117 P
0.754 0.371 0.883 P
0.769 0.087 0.604 P
0.769 0.665 0.182 P
0.045 0.009 0.854 O
0.045 0.692 0.536 O
0.142 0.578 0.663 O
0.142 0.978 0.064 O
0.155 0.192 0.146 O
0.155 0.509 0.464 O
0.159 0.754 0.758 O
0.159 0.900 0.905 O
0.221 0.392 0.012 O
0.221 0.708 0.329 O
0.320 0.807 0.013 O
0.326 0.131 0.315 O
0.326 0.510 0.695 O
0.379 0.208 0.988 O
0.379 0.892 0.671 O
0.463 0.112 0.513 O
0.463 0.450 0.850 O
0.475 0.062 0.332 O
0.475 0.643 0.913 O
0.483 0.747 0.106 O
0.483 0.877 0.236 O
0.600 0.612 0.150 O
0.600 0.950 0.487 O
0.642 0.247 0.764 O
0.642 0.377 0.894 O
0.664 0.049 0.115 O
0.668 0.358 0.425 O
0.668 0.742 0.810 O
0.730 0.143 0.668 O
0.730 0.562 0.087 O
0.795 0.307 0.987 O
0.816 0.010 0.685 O
0.816 0.631 0.305 O
0.914 0.078 0.936 O
0.914 0.478 0.337 O
0.932 0.242 0.575 O
0.932 0.858 0.190 O
0.935 0.549 0.885 O
0.996 0.254 0.095 O
0.996 0.400 0.242 O
```

(4)
This entry pairs a crystal structure of Zr5Tl2Ga2 with its computed powder X-ray diffraction pattern. Radiation: Cu Kα (weighted mean of Kα1 and Kα2). Structure: a PBE-relaxed structure.

Most intense lines, 2θ = 10–90°, by angle:
- d = 3.294 Å, 2θ 27.1, rel. 40
- d = 2.731 Å, 2θ 32.8, rel. 23
- d = 2.604 Å, 2θ 34.4, rel. 100
- d = 2.597 Å, 2θ 34.5, rel. 46
- d = 2.556 Å, 2θ 35.1, rel. 36
- d = 2.454 Å, 2θ 36.6, rel. 42
- d = 1.825 Å, 2θ 50.0, rel. 25
- d = 1.337 Å, 2θ 70.5, rel. 25

Atomic structure:
```
Zr5Tl2Ga2
1.0
7.332 -3.692 0.000
7.332 3.692 0.000
0.000 0.000 7.357
Zr Tl Ga
10 4 4
direct
0.000 0.000 0.000 Zr
0.058 0.695 0.678 Zr
0.195 0.558 0.178 Zr
0.305 0.942 0.678 Zr
0.442 0.805 0.178 Zr
0.500 0.500 0.500 Zr
0.558 0.195 0.822 Zr
0.695 0.058 0.322 Zr
0.805 0.442 0.822 Zr
0.942 0.305 0.322 Zr
0.220 0.220 0.000 Tl
0.280 0.280 0.500 Tl
0.720 0.720 0.500 Tl
0.780 0.780 0.000 Tl
0.122 0.878 0.376 Ga
0.378 0.622 0.876 Ga
0.622 0.378 0.124 Ga
0.878 0.122 0.624 Ga
```

(5)
This entry pairs a crystal structure of Li2SmTmCd4 with its computed powder X-ray diffraction pattern. Radiation: Cu Kα (weighted mean of Kα1 and Kα2). Structure: a PBE-relaxed structure.

Most intense lines, 2θ = 10–90°, by angle:
- d = 4.136 Å, 2θ 21.5, rel. 36
- d = 2.533 Å, 2θ 35.4, rel. 100
- d = 2.160 Å, 2θ 41.8, rel. 19
- d = 1.791 Å, 2θ 51.0, rel. 17
- d = 1.464 Å, 2θ 63.5, rel. 9
- d = 1.462 Å, 2θ 63.7, rel. 26
- d = 1.133 Å, 2θ 85.7, rel. 8
- d = 1.132 Å, 2θ 85.8, rel. 8

Atomic structure:
```
Li2SmTmCd4
1.0
2.531 1.461 8.285
-2.531 1.461 8.285
0.000 -2.922 8.285
Li Sm Tm Cd
2 1 1 4
direct
0.249 0.249 0.249 Li
0.751 0.751 0.751 Li
0.000 0.000 0.000 Sm
0.500 0.500 0.500 Tm
0.127 0.127 0.127 Cd
0.377 0.377 0.377 Cd
0.623 0.623 0.623 Cd
0.873 0.873 0.873 Cd
```

(6)
This entry pairs a crystal structure of Ac2ErHg4 with its computed powder X-ray diffraction pattern. Radiation: Cu Kα (weighted mean of Kα1 and Kα2). Structure: a PBE-relaxed structure.

Most intense lines, 2θ = 10–90°, by angle:
- d = 4.213 Å, 2θ 21.1, rel. 28
- d = 2.923 Å, 2θ 30.6, rel. 100
- d = 2.552 Å, 2θ 35.2, rel. 36
- d = 2.525 Å, 2θ 35.6, rel. 91
- d = 1.911 Å, 2θ 47.6, rel. 30
- d = 1.794 Å, 2θ 50.9, rel. 22
- d = 1.523 Å, 2θ 60.8, rel. 29
- d = 1.462 Å, 2θ 63.6, rel. 18

Atomic structure:
```
Ac2ErHg4
1.0
2.525 1.458 10.479
-2.525 1.458 10.479
0.000 -2.915 10.479
Ac Er Hg
2 1 4
direct
0.247 0.247 0.247 Ac
0.753 0.753 0.753 Ac
0.000 0.000 0.000 Er
0.140 0.140 0.140 Hg
0.363 0.363 0.363 Hg
0.637 0.637 0.637 Hg
0.860 0.860 0.860 Hg
```